The following is a calculated powder diffractogram of Hf2MgSc5. It was derived from a cell relaxed with GGA-PBE, using λ = 1.5418 Å (Cu Kα).
Kinematic intensities with the Lorentz-polarization factor, no thermal factor.

Crystal structure
Cell lengths 3.1922, 9.9874, 11.8686 Å; angles 88.17, 88.29, 85.00 degrees
Element x y z (fractional)
Hf 0.1074 0.2694 0.4791
Hf 0.2363 0.2507 0.0049
Hf 0.7637 0.7493 0.9951
Hf 0.8926 0.7306 0.5209
Mg 0.1594 0.2424 0.7464
Mg 0.8406 0.7576 0.2536
Sc 0.2426 0.9801 0.1126
Sc 0.2458 0.5104 0.1151
Sc 0.2790 0.9800 0.3885
Sc 0.2970 0.7648 0.7599
Sc 0.4974 0.5192 0.3750
Sc 0.5026 0.4808 0.6250
Sc 0.7030 0.2352 0.2401
Sc 0.7210 0.0200 0.6115
Sc 0.7542 0.4896 0.8849
Sc 0.7574 0.0199 0.8874

The 10 most intense peaks (2θ = 10–90°), low angle first:
14.94 deg, rel. 100; 17.84 deg, rel. 43; 23.00 deg, rel. 28; 23.69 deg, rel. 24; 30.25 deg, rel. 16; 33.03 deg, rel. 28; 34.77 deg, rel. 61; 35.72 deg, rel. 77; 36.13 deg, rel. 47; 37.47 deg, rel. 19

***

The following is a calculated powder diffractogram of Mg6In5. It was derived from a cell relaxed with GGA-PBE, using λ = 1.5418 Å (Cu Kα).
Kinematic intensities with the Lorentz-polarization factor, no thermal factor.

Crystal structure
Cell lengths 7.2672, 7.2672, 8.4912 Å; angles 90.36, 90.36, 142.86 degrees
Element x y z (fractional)
Mg 0.1636 0.8346 0.7433
Mg 0.1654 0.8364 0.2567
Mg 0.4962 0.4962 0.7394
Mg 0.5038 0.5038 0.2606
Mg 0.8346 0.1636 0.7433
Mg 0.8364 0.1654 0.2567
In 0.0000 0.0000 0.0000
In 0.3315 0.6685 0.0000
In 0.3360 0.6640 0.5000
In 0.6640 0.3360 0.5000
In 0.6685 0.3315 0.0000

The 10 most intense peaks (2θ = 10–90°), low angle first:
10.42 deg, rel. 18; 20.93 deg, rel. 59; 27.36 deg, rel. 62; 34.46 deg, rel. 100; 34.94 deg, rel. 96; 38.92 deg, rel. 36; 39.23 deg, rel. 35; 42.60 deg, rel. 28; 56.46 deg, rel. 23; 59.29 deg, rel. 20

***

Repeat the first record exactly.
The following is a calculated powder diffractogram of Hf2MgSc5. It was derived from a cell relaxed with GGA-PBE, using λ = 1.5418 Å (Cu Kα).
Kinematic intensities with the Lorentz-polarization factor, no thermal factor.

Crystal structure
Cell lengths 3.1922, 9.9874, 11.8686 Å; angles 88.17, 88.29, 85.00 degrees
Element x y z (fractional)
Hf 0.1074 0.2694 0.4791
Hf 0.2363 0.2507 0.0049
Hf 0.7637 0.7493 0.9951
Hf 0.8926 0.7306 0.5209
Mg 0.1594 0.2424 0.7464
Mg 0.8406 0.7576 0.2536
Sc 0.2426 0.9801 0.1126
Sc 0.2458 0.5104 0.1151
Sc 0.2790 0.9800 0.3885
Sc 0.2970 0.7648 0.7599
Sc 0.4974 0.5192 0.3750
Sc 0.5026 0.4808 0.6250
Sc 0.7030 0.2352 0.2401
Sc 0.7210 0.0200 0.6115
Sc 0.7542 0.4896 0.8849
Sc 0.7574 0.0199 0.8874

The 10 most intense peaks (2θ = 10–90°), low angle first:
14.94 deg, rel. 100; 17.84 deg, rel. 43; 23.00 deg, rel. 28; 23.69 deg, rel. 24; 30.25 deg, rel. 16; 33.03 deg, rel. 28; 34.77 deg, rel. 61; 35.72 deg, rel. 77; 36.13 deg, rel. 47; 37.47 deg, rel. 19